No. 1
This entry pairs a crystal structure of Cs4Cl3F12 with its computed powder diffraction line list. Radiation: λ = 1.5418 Å (Cu Kα). Structure: DFT lattice parameters and positions (GGA-PBE).

```
data_Cs4Cl3F12
_cell_length_a 10.1046
_cell_length_b 10.1046
_cell_length_c 10.1046
_cell_angle_alpha 90.00
_cell_angle_beta 90.00
_cell_angle_gamma 90.00
_space_group_name_H-M_alt 'I m -3'
_space_group_IT_number 204
_space_group_name_Hall '-I 2 2 3'
loop_
_atom_site_label
_atom_site_type_symbol
_atom_site_fract_x
_atom_site_fract_y
_atom_site_fract_z
_atom_site_occupancy
Cs1 Cs 0.2500 0.2500 0.2500 1
Cl1 Cl 0.0000 0.0000 0.5000 1
F1 F 0.0000 0.1287 0.3605 1
```

The 8 most intense peaks (2θ = 10–80°), in order of falling intensity:
(2 2 0), 24.92 deg, 3.573 Å, I = 100; (4 2 2), 43.90 deg, 2.063 Å, I = 46; (4 0 2), 39.90 deg, 2.259 Å, I = 36; (2 0 0), 17.55 deg, 5.052 Å, I = 35; (6 4 2), 69.63 deg, 1.350 Å, I = 21; (6 2 0), 57.70 deg, 1.598 Å, I = 20; (2 2 2), 30.65 deg, 2.917 Å, I = 17; (4 0 0), 35.54 deg, 2.526 Å, I = 16



No. 2
This entry pairs a crystal structure of CsClF3 with its computed powder diffraction line list. Radiation: λ = 1.5418 Å (Cu Kα). Structure: DFT lattice parameters and positions (GGA-PBE).

```
data_CsClF3
_cell_length_a 6.7535
_cell_length_b 6.7535
_cell_length_c 9.5971
_cell_angle_alpha 90.00
_cell_angle_beta 90.00
_cell_angle_gamma 90.00
_space_group_name_H-M_alt 'I 4/m m m'
_space_group_IT_number 139
_space_group_name_Hall '-I 4 2'
loop_
_atom_site_label
_atom_site_type_symbol
_atom_site_fract_x
_atom_site_fract_y
_atom_site_fract_z
_atom_site_occupancy
Cs1 Cs 0.0000 0.5000 0.2500 1
Cl1 Cl 0.0000 0.0000 0.0000 1
Cl2 Cl 0.0000 0.0000 0.5000 1
F1 F 0.0000 0.0000 0.1970 1
F2 F 0.1930 0.1930 0.5000 1
```

The 8 most intense peaks (2θ = 10–80°), in order of falling intensity:
(2 0 0), 26.35 deg, 3.382 Å, I = 100; (2 0 2), 32.42 deg, 2.762 Å, I = 31; (2 2 0), 37.67 deg, 2.388 Å, I = 22; (3 1 2), 46.55 deg, 1.951 Å, I = 21; (0 0 2), 18.55 deg, 4.783 Å, I = 20; (4 2 0), 61.38 deg, 1.510 Å, I = 15; (4 2 4), 74.24 deg, 1.277 Å, I = 15; (2 2 4), 54.20 deg, 1.692 Å, I = 13



No. 3
This entry pairs a crystal structure of CsCl3F with its computed powder diffraction line list. Radiation: λ = 1.5418 Å (Cu Kα). Structure: DFT lattice parameters and positions (GGA-PBE).

```
data_CsCl3F
_cell_length_a 7.3334
_cell_length_b 7.3334
_cell_length_c 10.8647
_cell_angle_alpha 90.00
_cell_angle_beta 90.00
_cell_angle_gamma 90.00
_space_group_name_H-M_alt 'I 4/m m m'
_space_group_IT_number 139
_space_group_name_Hall '-I 4 2'
loop_
_atom_site_label
_atom_site_type_symbol
_atom_site_fract_x
_atom_site_fract_y
_atom_site_fract_z
_atom_site_occupancy
Cs1 Cs 0.0000 0.5000 0.2500 1
Cl1 Cl 0.0000 0.0000 0.1904 1
Cl2 Cl 0.2134 0.2134 0.5000 1
F1 F 0.0000 0.0000 0.0000 1
F2 F 0.0000 0.0000 0.5000 1
```

The 8 most intense peaks (2θ = 10–80°), in order of falling intensity:
(2 0 2), 29.39 deg, 3.039 Å, I = 100; (1 1 2), 23.72 deg, 3.751 Å, I = 68; (2 2 0), 34.60 deg, 2.593 Å, I = 47; (2 0 0), 24.27 deg, 3.667 Å, I = 29; (2 2 4), 48.54 deg, 1.875 Å, I = 25; (3 1 2), 42.38 deg, 2.133 Å, I = 23; (0 0 4), 32.98 deg, 2.716 Å, I = 23; (4 2 2), 58.82 deg, 1.570 Å, I = 20



No. 4
This entry pairs a crystal structure of CsGaClF3 with its computed powder diffraction line list. Radiation: λ = 1.5418 Å (Cu Kα). Structure: DFT lattice parameters and positions (GGA-PBE).

```
data_CsGaClF3
_cell_length_a 6.1637
_cell_length_b 17.9120
_cell_length_c 5.4895
_cell_angle_alpha 90.00
_cell_angle_beta 95.92
_cell_angle_gamma 90.00
_space_group_name_H-M_alt 'C 1 2/c 1'
_space_group_IT_number 15
loop_
_space_group_symop_operation_xyz
'x,y,z'
'-x,-y,-z'
'-x,y,-z+1/2'
'x,-y,z+1/2'
'x+1/2,y+1/2,z'
'-x+1/2,-y+1/2,-z'
'-x+1/2,y+1/2,-z+1/2'
'x+1/2,-y+1/2,z+1/2'
loop_
_atom_site_label
_atom_site_type_symbol
_atom_site_fract_x
_atom_site_fract_y
_atom_site_fract_z
_atom_site_occupancy
Cs1 Cs 0.0000 0.2354 0.2500 1
Ga1 Ga 0.0000 0.0353 0.7500 1
Cl1 Cl 0.0000 0.3422 0.7500 1
F1 F 0.0000 0.1338 0.7500 1
F2 F 0.1861 0.0185 0.4802 1
```

The 8 most intense peaks (2θ = 10–80°), in order of falling intensity:
(1 3 1), 27.40 deg, 3.255 Å, I = 100; (1 3 -1), 25.51 deg, 3.491 Å, I = 91; (1 1 0), 15.28 deg, 5.800 Å, I = 86; (0 4 0), 19.83 deg, 4.478 Å, I = 69; (2 0 0), 29.13 deg, 3.065 Å, I = 57; (0 4 1), 25.73 deg, 3.462 Å, I = 45; (1 7 1), 42.29 deg, 2.137 Å, I = 39; (0 0 2), 32.80 deg, 2.730 Å, I = 38



No. 5
This entry pairs a crystal structure of Cs2GeCl6F with its computed powder diffraction line list. Radiation: λ = 1.5418 Å (Cu Kα). Structure: DFT lattice parameters and positions (GGA-PBE).

```
data_Cs2GeCl6F
_cell_length_a 7.3153
_cell_length_b 7.3153
_cell_length_c 10.9846
_cell_angle_alpha 90.00
_cell_angle_beta 90.00
_cell_angle_gamma 90.00
_space_group_name_H-M_alt 'I 4/m m m'
_space_group_IT_number 139
_space_group_name_Hall '-I 4 2'
loop_
_atom_site_label
_atom_site_type_symbol
_atom_site_fract_x
_atom_site_fract_y
_atom_site_fract_z
_atom_site_occupancy
Cs1 Cs 0.0000 0.5000 0.2500 1
Ge1 Ge 0.0000 0.0000 0.0000 1
Cl1 Cl 0.0000 0.0000 0.2127 1
Cl2 Cl 0.2261 0.2261 0.0000 1
F1 F 0.0000 0.0000 0.5000 1
```

The 8 most intense peaks (2θ = 10–80°), in order of falling intensity:
(1 1 2), 23.63 deg, 3.766 Å, I = 100; (2 0 2), 29.34 deg, 3.044 Å, I = 93; (2 2 0), 34.68 deg, 2.586 Å, I = 67; (2 0 0), 24.33 deg, 3.658 Å, I = 45; (2 2 4), 48.34 deg, 1.883 Å, I = 44; (3 1 2), 42.40 deg, 2.132 Å, I = 39; (0 0 4), 32.61 deg, 2.746 Å, I = 38; (1 0 1), 14.55 deg, 6.089 Å, I = 34